No. 1
For CsAg2P2S6, a DFT-relaxed cell (GGA-PBE, Alexandria) gives the calculated XRD peak list in this record (Cu Kα).
No peak broadening, texture or thermal motion is included.

Peak list (12 most intense, 10 to 80 degrees two-theta, in order of rising 2θ)
d [Å], I (rel.)
5.998, 630
4.072, 1000
4.031, 476
3.979, 714
3.927, 721
3.602, 826
3.384, 868
3.221, 493
2.901, 954
2.683, 519
2.537, 569
2.036, 503

Structural model:
a = 6.4872 Å, b = 6.8554 Å, c = 7.7134 Å
α = 107.18°, β = 108.95°, γ = 95.42°
Positions (direct):
Cs 0.0000 0.0000 0.0000
Ag 0.1406 0.6755 0.4727
Ag 0.8594 0.3245 0.5273
P 0.4676 0.4698 0.8353
P 0.5324 0.5302 0.1647
S 0.2138 0.2154 0.6711
S 0.2329 0.5897 0.1699
S 0.4086 0.7448 0.8013
S 0.5914 0.2552 0.1987
S 0.7671 0.4103 0.8301
S 0.7862 0.7846 0.3289

***

No. 2
For CsAg2P2Se6, a DFT-relaxed cell (GGA-PBE, Alexandria) gives the calculated XRD peak list in this record (Cu Kα).
No peak broadening, texture or thermal motion is included.

Peak list (12 most intense, 10 to 80 degrees two-theta, in order of rising 2θ)
d [Å], I (rel.)
7.928, 1000
5.840, 438
4.496, 338
4.036, 455
3.753, 290
3.446, 297
3.338, 310
2.935, 256
2.794, 611
2.573, 256
2.532, 292
2.501, 316

Structural model:
a = 6.9247 Å, b = 7.0867 Å, c = 8.8684 Å
α = 67.81°, β = 71.46°, γ = 77.40°
Positions (direct):
Cs 0.0000 0.0000 0.0000
Ag 0.3663 0.7145 0.5525
Ag 0.6337 0.2855 0.4475
P 0.1229 0.4360 0.4021
P 0.8771 0.5640 0.5979
Se 0.0313 0.5820 0.7727
Se 0.2800 0.1395 0.5434
Se 0.3558 0.6509 0.2694
Se 0.6442 0.3491 0.7306
Se 0.7200 0.8605 0.4566
Se 0.9687 0.4180 0.2273

***

No. 3
For CsAg2Te4P, a DFT-relaxed cell (GGA-PBE, Alexandria) gives the calculated XRD peak list in this record (Cu Kα).
No peak broadening, texture or thermal motion is included.

Peak list (12 most intense, 10 to 80 degrees two-theta, in order of rising 2θ)
d [Å], I (rel.)
6.486, 247
3.639, 1000
3.489, 740
3.141, 203
3.015, 431
2.778, 414
2.407, 169
2.323, 164
2.208, 199
2.050, 208
1.852, 365
1.666, 160

Structural model:
a = 7.1800 Å, b = 8.7737 Å, c = 9.6298 Å
α = 90.00°, β = 90.00°, γ = 90.00°
Positions (direct):
Cs 0.0000 0.0000 0.0000
Cs 0.5000 0.5000 0.5000
Ag 0.0000 0.5000 0.1607
Ag 0.0000 0.5000 0.8393
Ag 0.5000 0.0000 0.3393
Ag 0.5000 0.0000 0.6607
Te 0.1917 0.1724 0.3514
Te 0.1917 0.8276 0.6486
Te 0.3083 0.3276 0.8514
Te 0.3083 0.6724 0.1486
Te 0.6917 0.3276 0.1486
Te 0.6917 0.6724 0.8514
Te 0.8083 0.1724 0.6486
Te 0.8083 0.8276 0.3514
P 0.0000 0.0000 0.5000
P 0.5000 0.5000 0.0000

***

No. 4
For CsZnAg2P, a DFT-relaxed cell (GGA-PBE, Alexandria) gives the calculated XRD peak list in this record (Cu Kα).
No peak broadening, texture or thermal motion is included.

Peak list (12 most intense, 10 to 80 degrees two-theta, in order of rising 2θ)
d [Å], I (rel.)
4.804, 153
3.549, 471
2.943, 1000
2.633, 776
2.402, 297
2.309, 96
2.114, 228
1.862, 269
1.774, 459
1.573, 289
1.471, 357
1.201, 91

Structural model:
a = 5.2655 Å, b = 5.2655 Å, c = 4.8037 Å
α = 90.00°, β = 90.00°, γ = 90.00°
Positions (direct):
Cs 0.0000 0.0000 0.0000
Zn 0.5000 0.5000 0.5000
Ag 0.0000 0.5000 0.5000
Ag 0.5000 0.0000 0.5000
P 0.5000 0.5000 0.0000

***

No. 5
For CsPaAgS4, a DFT-relaxed cell (GGA-PBE, Alexandria) gives the calculated XRD peak list in this record (Cu Kα).
No peak broadening, texture or thermal motion is included.

Peak list (12 most intense, 10 to 80 degrees two-theta, in order of rising 2θ)
d [Å], I (rel.)
4.766, 654
4.257, 657
3.602, 406
3.557, 1000
3.354, 424
2.892, 814
2.823, 432
2.755, 491
2.514, 299
2.149, 494
2.129, 457
1.857, 320

Structural model:
a = 7.0889 Å, b = 5.5091 Å, c = 10.0630 Å
α = 90.00°, β = 108.86°, γ = 90.00°
Positions (direct):
Cs 0.2436 0.2500 0.0383
Cs 0.7564 0.7500 0.9617
Pa 0.2697 0.2500 0.5528
Pa 0.7303 0.7500 0.4472
Ag 0.2463 0.7500 0.3071
Ag 0.7537 0.2500 0.6929
S 0.0302 0.5210 0.6742
S 0.0302 0.9790 0.6742
S 0.4365 0.7500 0.5730
S 0.4942 0.7500 0.1894
S 0.5058 0.2500 0.8106
S 0.5635 0.2500 0.4270
S 0.9698 0.0210 0.3258
S 0.9698 0.4790 0.3258

***

No. 6
For Cs2PaAg2Se4, a DFT-relaxed cell (GGA-PBE, Alexandria) gives the calculated XRD peak list in this record (Cu Kα).
No peak broadening, texture or thermal motion is included.

Peak list (12 most intense, 10 to 80 degrees two-theta, in order of rising 2θ)
d [Å], I (rel.)
8.119, 778
4.175, 230
3.291, 433
3.051, 1000
2.862, 490
2.844, 570
2.501, 290
2.342, 225
2.324, 248
2.175, 334
1.969, 267
1.902, 393

Structural model:
a = 8.2100 Å, b = 8.2100 Å, c = 8.5650 Å
α = 107.88°, β = 107.88°, γ = 30.72°
Positions (direct):
Cs 0.1366 0.1366 0.0713
Cs 0.8634 0.8634 0.9287
Pa 0.0000 0.0000 0.5000
Ag 0.3196 0.3196 0.5166
Ag 0.6804 0.6804 0.4834
Se 0.1887 0.1887 0.6775
Se 0.4876 0.4876 0.7212
Se 0.5124 0.5124 0.2788
Se 0.8113 0.8113 0.3225